No. 1
Structure and calculated X-ray powder pattern of Sm2YTm (a crystal structure in Alexandria, relaxed with GGA-PBE; Cu Kα, 1.54184 Å).
Intensities are scaled so that the largest is 100.

The 6 most intense peaks (2θ from 10° to 90°), by angle:
index, two_theta, I_rel
0 1 4, 29.7, 51.6
0 4 0, 30.9, 36.1
1 2 2, 32.6, 100.0
0 3 4, 37.1, 28.5
2 0 0, 50.8, 26.9
2 4 0, 60.6, 31.5

Crystal structure
Cell: 3.598 11.586 12.450 Å, 90.00 90.00 90.00°
Atoms (fractional coordinates):
Sm  0.250  0.001  0.208
Sm  0.250  0.498  0.042
Sm  0.250  0.502  0.542
Sm  0.250  0.999  0.708
Sm  0.750  0.002  0.958
Sm  0.750  0.499  0.792
Sm  0.750  0.501  0.292
Sm  0.750  0.998  0.458
Y  0.249  0.750  0.874
Y  0.251  0.250  0.374
Y  0.749  0.750  0.126
Y  0.751  0.250  0.626
Tm  0.249  0.750  0.376
Tm  0.251  0.250  0.876
Tm  0.749  0.750  0.624
Tm  0.751  0.250  0.124

=====

No. 2
Structure and calculated X-ray powder pattern of MgTc2Mo (a crystal structure in Alexandria, relaxed with GGA-PBE; Cu Kα, 1.54184 Å).
Intensities are scaled so that the largest is 100.

The 6 most intense peaks (2θ from 10° to 90°), by angle:
index, two_theta, I_rel
0 0 1, 17.3, 20.2
0 2 0, 40.4, 50.7
0 1 2, 40.5, 100.0
1 1 -1, 40.7, 96.7
1 0 1, 41.5, 45.0
1 2 1, 59.3, 30.5

Crystal structure
Cell: 2.682 4.469 5.235 Å, 90.00 101.27 90.00°
Atoms (fractional coordinates):
Mg  0.000  0.000  0.000
Tc  0.281  0.500  0.762
Tc  0.496  0.000  0.503
Mo  0.710  0.500  0.253

=====

No. 3
Structure and calculated X-ray powder pattern of Ba4Ga5AgSe12 (a crystal structure in Alexandria, relaxed with GGA-PBE; Cu Kα, 1.54184 Å).
Intensities are scaled so that the largest is 100.

The 6 most intense peaks (2θ from 10° to 90°), by angle:
index, two_theta, I_rel
1 3 1, 24.2, 63.2
2 3 1, 26.6, 88.4
3 3 0, 27.1, 58.6
4 1 1, 29.6, 75.0
2 2 2, 32.6, 100.0
5 2 1, 37.2, 53.7

Crystal structure
Cell: 13.979 13.979 6.616 Å, 90.00 90.00 90.00°
Atoms (fractional coordinates):
Ba  0.024  0.287  0.034
Ba  0.215  0.469  0.547
Ba  0.287  0.976  0.966
Ba  0.469  0.785  0.453
Ba  0.531  0.215  0.453
Ba  0.713  0.024  0.966
Ba  0.785  0.531  0.547
Ba  0.976  0.713  0.034
Ga  0.000  0.000  0.500
Ga  0.137  0.756  0.546
Ga  0.244  0.137  0.454
Ga  0.255  0.635  0.051
Ga  0.365  0.255  0.949
Ga  0.500  0.500  0.000
Ga  0.635  0.745  0.949
Ga  0.745  0.365  0.051
Ga  0.756  0.863  0.454
Ga  0.863  0.244  0.546
Ag  0.000  0.500  0.304
Ag  0.500  0.000  0.696
Se  0.003  0.347  0.538
Se  0.084  0.895  0.738
Se  0.105  0.084  0.262
Se  0.142  0.505  0.032
Se  0.193  0.784  0.202
Se  0.216  0.193  0.798
Se  0.283  0.688  0.702
Se  0.312  0.283  0.298
Se  0.347  0.997  0.462
Se  0.395  0.581  0.239
Se  0.419  0.395  0.761
Se  0.495  0.142  0.968
Se  0.505  0.858  0.968
Se  0.581  0.605  0.761
Se  0.605  0.419  0.239
Se  0.653  0.003  0.462
Se  0.688  0.717  0.298
Se  0.717  0.312  0.702
Se  0.784  0.807  0.798
Se  0.807  0.216  0.202
Se  0.858  0.495  0.032
Se  0.895  0.916  0.262
Se  0.916  0.105  0.738
Se  0.997  0.653  0.538